The following is a theoretical powder diffraction line list of Na2NpOsO6. It was derived from DFT lattice parameters and positions (GGA-PBE), using CuKα.
No peak broadening, texture or thermal motion is included.

Atomic structure:
abc: 5.7524 5.7524 4.0416
angles: 90.00 90.00 90.00
Space group P4/mmm (No. 123)
Asymmetric unit:
Na1 0.0000 0.5000 0.0000 [2 per cell]
Np1 0.0000 0.0000 0.5000 [1 per cell]
Os1 0.5000 0.5000 0.5000 [1 per cell]
O1 0.0000 0.0000 0.0000 [1 per cell]
O2 0.2559 0.2559 0.5000 [4 per cell]
O3 0.5000 0.5000 0.0000 [1 per cell]

The 10 most intense peaks (15° ≤ 2θ ≤ 90°), sorted by position:
2θ = 21.85°, d 4.068, rel. 100
2θ = 21.99°, d 4.042, rel. 49
2θ = 31.09°, d 2.876, rel. 48
2θ = 31.20°, d 2.867, rel. 95
2θ = 38.41°, d 2.343, rel. 22
2θ = 44.55°, d 2.034, rel. 30
2θ = 50.18°, d 1.818, rel. 44
2θ = 50.42°, d 1.810, rel. 22
2θ = 55.39°, d 1.659, rel. 40
2θ = 55.58°, d 1.653, rel. 20

The following is a theoretical powder diffraction line list of SrMoP2. It was derived from DFT lattice parameters and positions (GGA-PBE), using CuKα.
No peak broadening, texture or thermal motion is included.

Atomic structure:
abc: 3.6268 3.6268 6.9589
angles: 90.00 90.00 120.00
Space group P-6m2 (No. 187)
Asymmetric unit:
Sr1 0.0000 0.0000 0.0000 [1 per cell]
Mo1 0.3333 0.6667 0.5000 [1 per cell]
P1 0.6667 0.3333 0.3042 [2 per cell]

The 10 most intense peaks (15° ≤ 2θ ≤ 90°), sorted by position:
2θ = 25.60°, d 3.479, rel. 20
2θ = 31.24°, d 2.863, rel. 100
2θ = 38.62°, d 2.331, rel. 42
2θ = 48.81°, d 1.866, rel. 31
2θ = 50.32°, d 1.813, rel. 29
2θ = 57.29°, d 1.608, rel. 13
2θ = 60.43°, d 1.532, rel. 15
2θ = 72.71°, d 1.300, rel. 9
2θ = 75.77°, d 1.255, rel. 11
2θ = 82.41°, d 1.170, rel. 12

The following is a theoretical powder diffraction line list of CsRbAsSe3. It was derived from DFT lattice parameters and positions (GGA-PBE), using CuKα.
No peak broadening, texture or thermal motion is included.

Atomic structure:
abc: 12.5463 8.6508 9.4650
angles: 90.00 101.01 90.00
Space group C2/m (No. 12)
Asymmetric unit:
Cs1 0.1481 0.0000 0.4119 [4 per cell]
Rb1 0.0000 0.2671 0.0000 [4 per cell]
As1 0.0261 0.5000 0.6413 [4 per cell]
Se1 0.1287 0.2766 0.7063 [8 per cell]
Se2 0.1356 0.5000 0.2692 [4 per cell]

The 10 most intense peaks (15° ≤ 2θ ≤ 90°), sorted by position:
2θ = 22.68°, d 3.921, rel. 56
2θ = 24.03°, d 3.703, rel. 60
2θ = 27.94°, d 3.193, rel. 100
2θ = 28.08°, d 3.178, rel. 31
2θ = 28.82°, d 3.098, rel. 37
2θ = 30.01°, d 2.977, rel. 53
2θ = 31.65°, d 2.827, rel. 31
2θ = 32.81°, d 2.729, rel. 31
2θ = 43.60°, d 2.076, rel. 30
2θ = 48.37°, d 1.882, rel. 43

The following is a theoretical powder diffraction line list of NpS5Cl4. It was derived from DFT lattice parameters and positions (GGA-PBE), using CuKα.
No peak broadening, texture or thermal motion is included.

Atomic structure:
abc: 7.9440 11.9817 7.3719
angles: 90.00 92.83 90.00
Space group P2/c (No. 13)
Asymmetric unit:
Np1 0.0000 0.2476 0.2500 [2 per cell]
S1 0.1267 0.2632 0.6024 [4 per cell]
S2 0.3669 0.2120 0.5859 [4 per cell]
S3 0.5000 0.3242 0.7500 [2 per cell]
Cl1 0.1997 0.3938 0.1502 [4 per cell]
Cl2 0.2079 0.0994 0.1732 [4 per cell]

The 10 most intense peaks (15° ≤ 2θ ≤ 90°), sorted by position:
2θ = 17.65°, d 5.025, rel. 100
2θ = 18.40°, d 4.823, rel. 51
2θ = 18.56°, d 4.781, rel. 36
2θ = 24.18°, d 3.681, rel. 18
2θ = 26.96°, d 3.308, rel. 28
2θ = 27.20°, d 3.278, rel. 35
2θ = 27.54°, d 3.239, rel. 38
2θ = 33.69°, d 2.660, rel. 28
2θ = 43.29°, d 2.090, rel. 22
2θ = 45.78°, d 1.982, rel. 18